This entry pairs a crystal structure of Rb3Ac with its computed PXRD pattern. Radiation: CuKα. Structure: a DFT-relaxed cell (PBE, the Materials Project).
Kinematic intensities with the Lorentz-polarization factor, no thermal factor.

The 6 most intense peaks (2θ from 10° to 90°), in order of falling intensity:
(hkl)  d/Å  Rel. int.
1 1 2  3.797  100
3 1 2  1.931  30
2 0 0  3.171  30
2 0 4  2.369  27
0 0 4  3.565  20
1 1 6  2.100  19

Structural model:
Lattice parameters (Å, degrees): 6.342 6.342 14.261 90.00 90.00 90.00
Atoms (fractional coordinates):
1 Rb 0.000 0.000 0.000
2 Rb 0.000 0.500 0.250
3 Rb 0.000 0.500 0.750
4 Rb 0.500 0.000 0.250
5 Rb 0.500 0.000 0.750
6 Rb 0.500 0.500 0.500
7 Ac 0.000 0.000 0.500
8 Ac 0.500 0.500 0.000